This entry pairs a crystal structure of Fe3O4F2 with its computed X-ray diffraction stick pattern. Radiation: Cu Kα, 1.54184 Å. Structure: a cell relaxed with PBE+U.

Top 10 peaks for 2θ = 10–90°, low angle first:
26.7 deg, I = 96; 26.9 deg, I = 98; 35.2 deg, I = 100; 38.3 deg, I = 18; 52.8 deg, I = 55; 53.1 deg, I = 59; 55.0 deg, I = 15; 55.5 deg, I = 17; 61.0 deg, I = 19; 67.2 deg, I = 40

Cell: 10.5513 10.5513 3.0361 Å, 90.00 90.00 143.45°
Atoms (fractional coordinates):
Fe  0.0000  0.0000  0.0000
Fe  0.1583  0.8417  0.5000
Fe  0.3388  0.6612  0.0000
Fe  0.5000  0.5000  0.5000
Fe  0.6612  0.3388  0.0000
Fe  0.8417  0.1583  0.5000
O  0.0961  0.9039  0.0000
O  0.1428  0.4726  0.5000
O  0.4393  0.5607  0.0000
O  0.4726  0.1428  0.5000
O  0.5274  0.8572  0.5000
O  0.5607  0.4393  0.0000
O  0.8572  0.5274  0.5000
O  0.9039  0.0961  0.0000
F  0.1935  0.1935  0.5000
F  0.2286  0.7714  0.0000
F  0.7714  0.2286  0.0000
F  0.8065  0.8065  0.5000